Computed PXRD pattern
Compound: TbTcOs
Radiation: copper Kα
Structure: a PBE-relaxed structure
Neutral-atom scattering factors, no anomalous dispersion.

The 10 most intense peaks (2θ = 10–90°), in order of rising 2θ:
2θ 35.99, intensity 33, hkl 3 0 2; 2θ 36.19, intensity 91, hkl 3 1 1; 2θ 38.93, intensity 19, hkl 0 2 2; 2θ 39.06, intensity 100, hkl 2 1 3; 2θ 39.59, intensity 87, hkl 1 0 4; 2θ 40.30, intensity 100, hkl 1 2 2; 2θ 40.92, intensity 26, hkl 4 0 0; 2θ 63.94, intensity 24, hkl 2 3 3; 2θ 66.66, intensity 37, hkl 5 2 2; 2θ 69.50, intensity 29, hkl 0 2 6

Structural model:
Unit cell a=8.823 b=5.311 c=9.431 alpha=90.00 beta=90.00 gamma=90.00
Space group Amm2 (No. 38)
One atom of each set of equivalent atoms:
Tb: 0.182 0.000 0.000 x4
Tb: 0.314 0.000 0.669 x4
Tc: 0.248 0.000 0.336 x4
Tc: 0.500 0.245 0.919 x4
Os: 0.000 0.000 0.507 x2
Os: 0.000 0.245 0.748 x4
Os: 0.500 0.000 0.160 x2